Calculated powder diffraction line list of CdI2 for Cu Kα, 1.54184 Å, from the PBE geometry in the Materials Project.
No peak broadening, texture or thermal motion is included.

Structural model:
Cell: 4.345 4.345 73.614 Å, 90.00 90.00 120.00°
Fractional positions:
Cd1 0.000 0.000 0.000
Cd2 0.000 0.000 0.100
Cd3 0.000 0.000 0.300
Cd4 0.000 0.000 0.500
Cd5 0.333 0.667 0.700
Cd6 0.333 0.667 0.800
Cd7 0.667 0.333 0.200
Cd8 0.667 0.333 0.400
Cd9 0.667 0.333 0.600
Cd10 0.667 0.333 0.900
I1 0.000 0.000 0.176
I2 0.000 0.000 0.376
I3 0.000 0.000 0.576
I4 0.000 0.000 0.676
I5 0.000 0.000 0.776
I6 0.000 0.000 0.876
I7 0.333 0.667 0.024
I8 0.333 0.667 0.124
I9 0.333 0.667 0.224
I10 0.333 0.667 0.324
I11 0.333 0.667 0.424
I12 0.333 0.667 0.524
I13 0.333 0.667 0.624
I14 0.333 0.667 0.924
I15 0.667 0.333 0.076
I16 0.667 0.333 0.276
I17 0.667 0.333 0.476
I18 0.667 0.333 0.724
I19 0.667 0.333 0.823
I20 0.667 0.333 0.976

Peak list (10 most intense, 10 to 80 degrees two-theta, most intense first)
Position (°2θ)  Rel. int.  (hkl)
26.6  100  1 0 10
12.0  81  0 0 10
41.6  80  1 1 0
66.6  37  1 1 40
30.7  26  1 0 16
44.1  24  0 1 30
26.1  23  0 1 9
43.4  20  1 1 10
27.8  20  0 1 12
27.2  19  0 1 11